This entry pairs a crystal structure of Mn11ZnO16 with its theoretical X-ray diffraction stick pattern. Radiation: Cu Kα (λ = 1.5418 Å). Structure: a structure optimized by DFT (PBE+U).
Intensities are scaled so that the largest is 100.

Atomic structure:
Cell: 8.339 9.513 8.337 Å, 90.00 90.00 90.00°
Space group C222 (No. 21)
One atom of each set of equivalent atoms:
Mn (0.000, 0.000, 0.000) (multiplicity 2)
Mn (0.124, 0.376, 0.127) (multiplicity 8)
Mn (0.127, 0.125, 0.377) (multiplicity 8)
Mn (0.250, 0.250, 0.749) (multiplicity 4)
Zn (0.000, 0.500, 0.500) (multiplicity 2)
O (0.110, 0.117, 0.612) (multiplicity 8)
O (0.112, 0.383, 0.890) (multiplicity 8)
O (0.136, 0.370, 0.365) (multiplicity 8)
O (0.140, 0.133, 0.140) (multiplicity 8)

Largest 10 diffraction maxima, by intensity, 2θ = 10–90°:
- hkl 3 1 1, 2θ 35.3, I 100
- hkl 1 3 1, 2θ 32.0, I 73
- hkl 2 2 0, 2θ 28.5, I 38
- hkl 5 1 1, 2θ 57.2, I 32
- hkl 4 4 0, 2θ 58.9, I 28
- hkl 0 4 4, 2θ 58.9, I 28
- hkl 1 5 1, 2θ 50.4, I 23
- hkl 4 0 4, 2θ 63.1, I 22
- hkl 4 0 0, 2θ 43.4, I 19
- hkl 2 0 2, 2θ 30.3, I 16

***

This entry pairs a crystal structure of NdEuHfMnO6 with its theoretical X-ray diffraction stick pattern. Radiation: Cu Kα (λ = 1.5418 Å). Structure: a structure optimized by DFT (PBE+U).
Intensities are scaled so that the largest is 100.

Atomic structure:
Cell: 8.064 8.064 8.064 Å, 90.00 90.00 90.00°
Space group F-43m (No. 216)
One atom of each set of equivalent atoms:
Nd (0.000, 0.000, 0.000) (multiplicity 4)
Eu (0.000, 0.000, 0.500) (multiplicity 4)
Hf (0.250, 0.250, 0.250) (multiplicity 4)
Mn (0.250, 0.250, 0.750) (multiplicity 4)
O (0.002, 0.250, 0.750) (multiplicity 24)

Largest 10 diffraction maxima, by intensity, 2θ = 10–90°:
- hkl 2 2 0, 2θ 31.4, I 100
- hkl 4 2 2, 2θ 55.9, I 40
- hkl 4 0 0, 2θ 45.0, I 29
- hkl 4 4 0, 2θ 65.5, I 18
- hkl 6 2 0, 2θ 74.4, I 17
- hkl 1 1 1, 2θ 19.1, I 12
- hkl 3 1 1, 2θ 37.0, I 8
- hkl 4 4 4, 2θ 83.0, I 6
- hkl 2 2 2, 2θ 38.7, I 4
- hkl 3 3 1, 2θ 49.3, I 4

***

This entry pairs a crystal structure of MgTi3Pb5WO15 with its theoretical X-ray diffraction stick pattern. Radiation: Cu Kα (λ = 1.5418 Å). Structure: a structure optimized by DFT (PBE+U).
Intensities are scaled so that the largest is 100.

Atomic structure:
Cell: 5.685 5.685 19.889 Å, 90.00 90.00 90.00°
Space group P4/nmm (No. 129, origin choice 2)
One atom of each set of equivalent atoms:
Mg (0.250, 0.250, 0.101) (multiplicity 2)
Ti (0.250, 0.250, 0.296) (multiplicity 2)
Ti (0.250, 0.250, 0.496) (multiplicity 2)
Ti (0.250, 0.250, 0.696) (multiplicity 2)
Pb (0.250, 0.750, 0.000) (multiplicity 2)
Pb (0.250, 0.750, 0.203) (multiplicity 4)
Pb (0.250, 0.750, 0.401) (multiplicity 4)
W (0.250, 0.250, 0.901) (multiplicity 2)
O (0.000, 0.000, 0.500) (multiplicity 4)
O (0.001, 0.001, 0.700) (multiplicity 8)
O (0.009, 0.009, 0.900) (multiplicity 8)
O (0.250, 0.250, 0.205) (multiplicity 2)
O (0.250, 0.250, 0.402) (multiplicity 2)
O (0.250, 0.250, 0.601) (multiplicity 2)
O (0.250, 0.250, 0.801) (multiplicity 2)
O (0.250, 0.250, 0.997) (multiplicity 2)

Largest 10 diffraction maxima, by intensity, 2θ = 10–90°:
- hkl 1 1 5, 2θ 31.6, I 100
- hkl 2 0 0, 2θ 31.5, I 51
- hkl 3 1 5, 2θ 56.1, I 41
- hkl 2 2 0, 2θ 45.1, I 30
- hkl 2 0 5, 2θ 38.9, I 29
- hkl 1 1 0, 2θ 22.1, I 24
- hkl 2 0 10, 2θ 56.5, I 20
- hkl 4 2 0, 2θ 74.7, I 18
- hkl 2 2 10, 2θ 66.1, I 18
- hkl 0 0 10, 2θ 45.6, I 14

***

This entry pairs a crystal structure of MnOF with its theoretical X-ray diffraction stick pattern. Radiation: Cu Kα (λ = 1.5418 Å). Structure: a structure optimized by DFT (PBE+U).
Intensities are scaled so that the largest is 100.

Atomic structure:
Cell: 4.817 3.061 19.093 Å, 90.00 97.10 90.00°
Space group Pm (No. 6)
One atom of each set of equivalent atoms:
Mn (0.000, 0.000, 0.000) (multiplicity 1)
Mn (0.015, 0.000, 0.752) (multiplicity 1)
Mn (0.035, 0.000, 0.504) (multiplicity 1)
Mn (0.482, 0.500, 0.126) (multiplicity 1)
Mn (0.508, 0.500, 0.876) (multiplicity 1)
Mn (0.523, 0.500, 0.628) (multiplicity 1)
Mn (0.565, 0.500, 0.376) (multiplicity 1)
Mn (0.962, 0.000, 0.251) (multiplicity 1)
O (0.189, 0.500, 0.050) (multiplicity 1)
O (0.209, 0.500, 0.801) (multiplicity 1)
O (0.227, 0.500, 0.552) (multiplicity 1)
O (0.712, 0.000, 0.329) (multiplicity 1)
O (0.781, 0.500, 0.202) (multiplicity 1)
O (0.805, 0.500, 0.952) (multiplicity 1)
O (0.822, 0.500, 0.703) (multiplicity 1)
O (0.844, 0.500, 0.454) (multiplicity 1)
F (0.206, 0.500, 0.301) (multiplicity 1)
F (0.291, 0.000, 0.177) (multiplicity 1)
F (0.320, 0.000, 0.924) (multiplicity 1)
F (0.331, 0.000, 0.675) (multiplicity 1)
F (0.358, 0.000, 0.418) (multiplicity 1)
F (0.679, 0.000, 0.081) (multiplicity 1)
F (0.699, 0.000, 0.829) (multiplicity 1)
F (0.710, 0.000, 0.579) (multiplicity 1)

Largest 10 diffraction maxima, by intensity, 2θ = 10–90°:
- hkl 1 0 -4, 2θ 24.8, I 100
- hkl 0 1 4, 2θ 34.8, I 82
- hkl 1 0 4, 2θ 28.1, I 77
- hkl 1 1 -8, 2θ 50.6, I 32
- hkl 2 1 -4, 2θ 50.3, I 30
- hkl 1 1 8, 2θ 54.3, I 21
- hkl 0 1 12, 2θ 66.7, I 20
- hkl 2 1 4, 2θ 54.1, I 20
- hkl 2 0 -8, 2θ 50.8, I 16
- hkl 3 1 0, 2θ 66.1, I 16

***

This entry pairs a crystal structure of Li4Fe3Ni2O10 with its theoretical X-ray diffraction stick pattern. Radiation: Cu Kα (λ = 1.5418 Å). Structure: a structure optimized by DFT (PBE+U).
Intensities are scaled so that the largest is 100.

Atomic structure:
Cell: 5.099 5.100 7.748 Å, 71.25 71.25 79.82°
Space group P1 (No. 1)
One atom of each set of equivalent atoms:
Li (0.000, 0.000, 0.000) (multiplicity 1)
Li (0.000, 0.393, 0.203) (multiplicity 1)
Li (0.024, 0.822, 0.364) (multiplicity 1)
Li (0.494, 0.115, 0.283) (multiplicity 1)
Fe (0.013, 0.618, 0.768) (multiplicity 1)
Fe (0.511, 0.312, 0.888) (multiplicity 1)
Fe (0.511, 0.938, 0.660) (multiplicity 1)
Ni (0.514, 0.720, 0.080) (multiplicity 1)
Ni (0.521, 0.518, 0.467) (multiplicity 1)
O (0.268, 0.672, 0.912) (multiplicity 1)
O (0.276, 0.070, 0.113) (multiplicity 1)
O (0.282, 0.829, 0.530) (multiplicity 1)
O (0.300, 0.293, 0.710) (multiplicity 1)
O (0.308, 0.502, 0.307) (multiplicity 1)
O (0.725, 0.186, 0.433) (multiplicity 1)
O (0.736, 0.942, 0.845) (multiplicity 1)
O (0.741, 0.739, 0.241) (multiplicity 1)
O (0.750, 0.586, 0.629) (multiplicity 1)
O (0.771, 0.383, 0.003) (multiplicity 1)

Largest 10 diffraction maxima, by intensity, 2θ = 10–90°:
- hkl 1 0 0, 2θ 18.4, I 100
- hkl 2 1 3, 2θ 43.7, I 80
- hkl 1 1 -2, 2θ 43.1, I 43
- hkl 0 0 1, 2θ 12.6, I 36
- hkl 1 0 2, 2θ 26.8, I 27
- hkl 1 3 4, 2θ 63.4, I 21
- hkl 1 1 1, 2θ 22.8, I 21
- hkl -1 1 1, 2θ 30.1, I 15
- hkl 1 -1 2, 2θ 37.6, I 15
- hkl 3 2 1, 2θ 62.7, I 13

***

This entry pairs a crystal structure of Sr2CoOsO6 with its theoretical X-ray diffraction stick pattern. Radiation: Cu Kα (λ = 1.5418 Å). Structure: a structure optimized by DFT (PBE+U).
Intensities are scaled so that the largest is 100.

Atomic structure:
Cell: 5.558 5.558 8.179 Å, 90.00 90.00 90.00°
Space group I4/m (No. 87)
One atom of each set of equivalent atoms:
Sr (0.000, 0.500, 0.250) (multiplicity 4)
Co (0.000, 0.000, 0.000) (multiplicity 2)
Os (0.000, 0.000, 0.500) (multiplicity 2)
O (0.000, 0.000, 0.262) (multiplicity 4)
O (0.211, 0.723, 0.500) (multiplicity 8)

Largest 10 diffraction maxima, by intensity, 2θ = 10–90°:
- hkl 1 1 2, 2θ 31.6, I 100
- hkl 2 0 0, 2θ 32.2, I 50
- hkl 3 1 2, 2θ 57.0, I 40
- hkl 1 0 1, 2θ 19.3, I 36
- hkl 2 2 0, 2θ 46.2, I 29
- hkl 2 0 4, 2θ 55.8, I 21
- hkl 2 2 4, 2θ 65.9, I 19
- hkl 0 0 4, 2θ 44.3, I 17
- hkl 2 1 1, 2θ 37.8, I 13
- hkl 1 1 6, 2θ 73.5, I 9